# Te4Au2Se
Simulated powder X-ray diffraction pattern, Cu Kα (λ = 1.5418 Å). Input: the PBE geometry in Alexandria.
Kinematic intensities with the Lorentz-polarization factor, no thermal factor.

Principal peaks in the range 2θ = 10–90°, in order of rising 2θ:
2θ = 23.5°, d = 3.783 Å, intensity 62
2θ = 25.6°, d = 3.481 Å, intensity 64
2θ = 28.0°, d = 3.186 Å, intensity 75
2θ = 29.2°, d = 3.059 Å, intensity 91
2θ = 30.8°, d = 2.903 Å, intensity 59
2θ = 38.3°, d = 2.352 Å, intensity 100

Crystal structure
```
14
Lattice="4.7514 -6.3716 0.0000 4.7514 6.3716 0.0000 -3.8491 0.0000 6.9618" Properties=species:S:1:pos:R:3 pbc="T T T"
Te 0.5250 3.3998 6.7209
Te 0.3214 0.5443 4.3264
Te 3.2042 3.3998 3.7218
Te 2.2460 -0.5443 0.8455
Te 3.4078 0.5443 6.1162
Te 2.4496 -3.3998 3.2400
Te 5.3324 -0.5443 2.6353
Te 5.1288 -3.3998 0.2409
Au 0.4512 3.1858 3.4809
Au 2.3757 -3.1858 0.0000
Au 4.7514 0.0000 0.0000
Au 2.8269 0.0000 3.4809
Se 3.7892 5.0076 1.7404
Se 1.8646 -5.0076 5.2213
```

---

# MgCo6Ge6
Simulated powder X-ray diffraction pattern, Cu Kα (λ = 1.5418 Å). Input: the PBE geometry in Alexandria.
Kinematic intensities with the Lorentz-polarization factor, no thermal factor.

Principal peaks in the range 2θ = 10–90°, in order of rising 2θ:
2θ = 35.4°, d = 2.535 Å, intensity 47
2θ = 41.1°, d = 2.195 Å, intensity 39
2θ = 42.7°, d = 2.117 Å, intensity 64
2θ = 47.7°, d = 1.907 Å, intensity 100
2θ = 51.9°, d = 1.763 Å, intensity 28
2θ = 74.9°, d = 1.268 Å, intensity 28

Crystal structure
```
13
Lattice="-2.5363 3.8504 4.3886 2.5363 -3.8504 4.3886 2.5363 3.8504 -4.3886" Properties=species:S:1:pos:R:3 pbc="T T T"
Mg 0.0000 0.0000 0.0000
Co 1.2682 1.9252 -2.1943
Co 1.2682 -1.9252 2.1943
Co 2.5363 1.9366 0.0000
Co -1.2682 1.9252 2.1943
Co 1.2682 1.9252 2.1943
Co 0.0000 1.9139 4.3886
Ge 2.5363 0.0000 1.4663
Ge 0.0000 0.0000 2.9314
Ge 0.0000 2.5976 0.0000
Ge 0.0000 5.1033 0.0000
Ge 0.0000 0.0000 5.8458
Ge 0.0000 3.8504 2.9223
```

---

# TbCe2Tm
Simulated powder X-ray diffraction pattern, Cu Kα (λ = 1.5418 Å). Input: the PBE geometry in Alexandria.
Kinematic intensities with the Lorentz-polarization factor, no thermal factor.

Principal peaks in the range 2θ = 10–90°, in order of rising 2θ:
2θ = 31.4°, d = 2.847 Å, intensity 32
2θ = 31.9°, d = 2.810 Å, intensity 100
2θ = 32.2°, d = 2.777 Å, intensity 14
2θ = 32.8°, d = 2.730 Å, intensity 21
2θ = 34.5°, d = 2.600 Å, intensity 14
2θ = 50.9°, d = 1.795 Å, intensity 15

Crystal structure
```
8
Lattice="3.2329 -5.6944 0.0000 3.2329 5.6944 0.0000 -0.2431 0.0000 6.3622" Properties=species:S:1:pos:R:3 pbc="T T T"
Tb 0.0000 0.0000 0.0000
Tb -0.1215 0.0000 3.1811
Ce 1.6516 2.6544 4.5418
Ce 4.4496 2.6544 5.0015
Ce 1.7731 -2.6544 1.3607
Ce 4.5712 -2.6544 1.8204
Tm 3.1721 0.4178 1.5906
Tm 3.0506 -0.4178 4.7717
```

---

# DyZn9Pd3
Simulated powder X-ray diffraction pattern, Cu Kα (λ = 1.5418 Å). Input: the PBE geometry in Alexandria.
Kinematic intensities with the Lorentz-polarization factor, no thermal factor.

Principal peaks in the range 2θ = 10–90°, in order of rising 2θ:
2θ = 34.9°, d = 2.569 Å, intensity 39
2θ = 39.2°, d = 2.297 Å, intensity 69
2θ = 39.8°, d = 2.267 Å, intensity 74
2θ = 40.0°, d = 2.253 Å, intensity 43
2θ = 40.7°, d = 2.218 Å, intensity 100
2θ = 44.5°, d = 2.037 Å, intensity 38

Crystal structure
```
13
Lattice="2.6611 -6.3326 0.0000 2.6611 6.3326 0.0000 -2.5332 0.0000 6.2176" Properties=species:S:1:pos:R:3 pbc="T T T"
Dy 0.0000 0.0000 0.0000
Zn 0.1485 4.1046 4.0669
Zn 0.1282 1.3694 4.8811
Zn 2.6405 4.1046 2.1507
Zn 2.6608 1.3694 1.3365
Zn 1.3945 0.0000 3.1088
Zn 0.1282 -1.3694 4.8811
Zn 0.1485 -4.1046 4.0669
Zn 2.6608 -1.3694 1.3365
Zn 2.6405 -4.1046 2.1507
Pd -1.2666 0.0000 3.1088
Pd 1.3306 3.1663 0.0000
Pd 1.3306 -3.1663 0.0000
```

---

# Cs2SeOF5
Simulated powder X-ray diffraction pattern, Cu Kα (λ = 1.5418 Å). Input: the PBE geometry in Alexandria.
Kinematic intensities with the Lorentz-polarization factor, no thermal factor.

Principal peaks in the range 2θ = 10–90°, in order of rising 2θ:
2θ = 16.6°, d = 5.342 Å, intensity 42
2θ = 27.1°, d = 3.295 Å, intensity 100
2θ = 27.7°, d = 3.226 Å, intensity 45
2θ = 33.5°, d = 2.671 Å, intensity 45
2θ = 39.5°, d = 2.281 Å, intensity 35
2θ = 48.5°, d = 1.875 Å, intensity 36

Crystal structure
```
9
Lattice="-3.2257 3.2257 4.7653 3.2257 -3.2257 4.7653 3.2257 3.2257 -4.7653" Properties=species:S:1:pos:R:3 pbc="T T T"
Cs 3.2257 0.0000 0.0000
Cs 0.0000 3.2257 0.0000
Se 0.0000 0.0000 2.4803
O 0.0000 0.0000 4.1417
F 1.8620 1.8620 -2.4610
F 1.3637 -1.3637 2.3043
F 0.0000 0.0000 0.3736
F -1.3637 1.3637 2.3043
F 1.3637 1.3637 2.3043
```

---

# Pm4TlCu
Simulated powder X-ray diffraction pattern, Cu Kα (λ = 1.5418 Å). Input: the PBE geometry in Alexandria.
Kinematic intensities with the Lorentz-polarization factor, no thermal factor.

Principal peaks in the range 2θ = 10–90°, in order of rising 2θ:
2θ = 30.5°, d = 2.930 Å, intensity 52
2θ = 32.1°, d = 2.787 Å, intensity 61
2θ = 32.4°, d = 2.765 Å, intensity 100
2θ = 33.0°, d = 2.716 Å, intensity 31
2θ = 33.1°, d = 2.706 Å, intensity 26
2θ = 37.4°, d = 2.402 Å, intensity 26

Crystal structure
```
12
Lattice="5.4895 0.0000 0.0000 0.0000 7.2402 0.0000 -1.4738 0.0000 8.7324" Properties=species:S:1:pos:R:3 pbc="T T T"
Pm 0.7113 1.8101 0.3831
Pm 0.5791 5.4302 3.2417
Pm 0.7206 3.7594 6.4623
Pm 0.7206 7.1009 6.4623
Pm 3.2951 0.1393 2.2701
Pm 3.2951 3.4808 2.2701
Pm 3.4366 1.8101 5.4908
Pm 3.3044 5.4302 8.3493
Tl 0.6307 1.8101 3.6308
Tl 3.3850 5.4302 5.1016
Cu 1.9522 5.4302 0.4457
Cu 2.0635 1.8101 8.2867
```